No. 1
Calculated powder X-ray diffraction pattern
Compound: TcN
Radiation: λ = 1.5418 Å (Cu Kα)
Structure: a DFT-relaxed cell (PBE, the Materials Project)
Kinematic intensities with the Lorentz-polarization factor, no thermal factor.

Most intense lines, 10 to 80 degrees two-theta, in order of falling intensity:
| two_theta | I/Imax |
| --- | --- |
| 49.08 | 100 |
| 36.85 | 90 |
| 31.26 | 40 |
| 66.39 | 21 |
| 77.32 | 20 |
| 75.21 | 20 |
| 78.42 | 10 |
| 65.20 | 7 |
| 40.19 | 2 |

Structure:
```
TcN
1.0
2.8162 0.0000 0.0000
-1.4081 2.4389 0.0000
0.0000 0.0000 5.7232
Tc N
2 2
Direct
0.0000 0.0000 0.0000
0.0000 0.0000 0.5000
0.3333 0.6667 0.2500
0.6667 0.3333 0.7500
```

No. 2
Calculated powder X-ray diffraction pattern
Compound: Ti2ZnCu2O8
Radiation: λ = 1.5418 Å (Cu Kα)
Structure: a DFT-relaxed cell (PBE, the Materials Project)
Kinematic intensities with the Lorentz-polarization factor, no thermal factor.

Most intense lines, 10 to 80 degrees two-theta, in order of falling intensity:
| two_theta | I/Imax |
| --- | --- |
| 29.77 | 100 |
| 19.94 | 88 |
| 32.86 | 73 |
| 30.79 | 69 |
| 34.17 | 49 |
| 30.42 | 44 |
| 26.29 | 38 |
| 29.23 | 37 |
| 43.43 | 33 |
| 22.60 | 32 |

Structure:
```
Ti2ZnCu2O8
1.0
6.4544 0.0000 0.0000
0.0000 8.3981 0.0000
-0.3148 0.0000 12.0060
Ti Zn Cu O
8 4 8 32
Direct
0.0995 0.0430 0.3415
0.0995 0.4570 0.8415
0.3911 0.5896 0.3636
0.3911 0.9104 0.8636
0.6089 0.0896 0.1364
0.6089 0.4104 0.6364
0.9005 0.5430 0.1585
0.9005 0.9570 0.6585
0.1102 0.1589 0.0505
0.1102 0.3411 0.5505
0.8898 0.6589 0.4495
0.8898 0.8411 0.9495
0.2372 0.6837 0.6244
0.2372 0.8163 0.1244
0.3755 0.0595 0.6281
0.3755 0.4405 0.1281
0.6245 0.5595 0.8719
0.6245 0.9405 0.3719
0.7628 0.1837 0.8756
0.7628 0.3163 0.3756
0.0288 0.2432 0.3984
0.0288 0.2568 0.8984
0.0955 0.1079 0.6144
0.0955 0.3921 0.1144
0.1193 0.0337 0.1929
0.1193 0.4663 0.6929
0.1961 0.5780 0.4765
0.1961 0.9220 0.9765
0.3083 0.6262 0.2098
0.3083 0.8738 0.7098
0.3490 0.5151 0.8974
0.3490 0.9849 0.3974
0.4166 0.2309 0.0859
0.4166 0.2691 0.5859
0.5004 0.1032 0.8585
0.5004 0.3968 0.3585
0.4996 0.6032 0.6415
0.4996 0.8968 0.1415
0.5834 0.7309 0.4141
0.5834 0.7691 0.9141
0.6510 0.0151 0.6026
0.6510 0.4849 0.1026
0.6917 0.1262 0.2902
0.6917 0.3738 0.7902
0.8039 0.0780 0.0235
0.8039 0.4220 0.5235
0.8807 0.5337 0.3071
0.8807 0.9663 0.8071
0.9045 0.6079 0.8856
0.9045 0.8921 0.3856
0.9712 0.7432 0.1016
0.9712 0.7568 0.6016
```

No. 3
Calculated powder X-ray diffraction pattern
Compound: Bi2O5
Radiation: λ = 1.5418 Å (Cu Kα)
Structure: a DFT-relaxed cell (PBE, the Materials Project)
Kinematic intensities with the Lorentz-polarization factor, no thermal factor.

Most intense lines, 10 to 80 degrees two-theta, in order of falling intensity:
| two_theta | I/Imax |
| --- | --- |
| 30.04 | 100 |
| 25.57 | 53 |
| 19.56 | 47 |
| 24.61 | 25 |
| 53.62 | 22 |
| 50.46 | 22 |
| 34.61 | 22 |
| 31.37 | 20 |
| 47.03 | 20 |
| 42.51 | 15 |

Structure:
```
Bi2O5
1.0
5.3709 0.0000 0.0000
0.0000 14.7931 0.0000
0.0000 0.0000 10.3681
Bi O
16 40
Direct
0.0080 0.2153 0.1360
0.0080 0.2847 0.6360
0.0945 0.0772 0.8567
0.0945 0.4228 0.3567
0.4055 0.5772 0.8567
0.4055 0.9228 0.3567
0.4920 0.7153 0.1360
0.4920 0.7847 0.6360
0.5080 0.2153 0.3640
0.5080 0.2847 0.8640
0.5945 0.0772 0.6433
0.5945 0.4228 0.1433
0.9055 0.5772 0.6433
0.9055 0.9228 0.1433
0.9920 0.7153 0.3640
0.9920 0.7847 0.8640
0.0522 0.5208 0.8171
0.0522 0.9792 0.3171
0.0581 0.5778 0.4543
0.0581 0.9222 0.9543
0.1719 0.1552 0.2951
0.1719 0.3448 0.7951
0.2091 0.6763 0.7039
0.2091 0.8237 0.2039
0.2201 0.6925 0.9743
0.2201 0.8075 0.4743
0.2799 0.1925 0.9743
0.2799 0.3075 0.4743
0.2909 0.1763 0.7039
0.2909 0.3237 0.2039
0.3281 0.6552 0.2951
0.3281 0.8448 0.7951
0.4419 0.0778 0.4543
0.4419 0.4222 0.9543
0.4478 0.0208 0.8171
0.4478 0.4792 0.3171
0.5522 0.5208 0.6829
0.5522 0.9792 0.1829
0.5581 0.5778 0.0457
0.5581 0.9222 0.5457
0.6719 0.1552 0.2049
0.6719 0.3448 0.7049
0.7091 0.6763 0.7961
0.7091 0.8237 0.2961
0.7201 0.6925 0.5257
0.7201 0.8075 0.0257
0.7799 0.1925 0.5257
0.7799 0.3075 0.0257
0.7909 0.1763 0.7961
0.7909 0.3237 0.2961
0.8281 0.6552 0.2049
0.8281 0.8448 0.7049
0.9419 0.0778 0.0457
0.9419 0.4222 0.5457
0.9478 0.0208 0.6829
0.9478 0.4792 0.1829
```

No. 4
Calculated powder X-ray diffraction pattern
Compound: UB4
Radiation: λ = 1.5418 Å (Cu Kα)
Structure: a DFT-relaxed cell (PBE, the Materials Project)
Kinematic intensities with the Lorentz-polarization factor, no thermal factor.

Most intense lines, 10 to 80 degrees two-theta, in order of falling intensity:
| two_theta | I/Imax |
| --- | --- |
| 36.55 | 100 |
| 28.41 | 81 |
| 34.16 | 77 |
| 22.51 | 75 |
| 25.36 | 63 |
| 59.05 | 47 |
| 53.81 | 37 |
| 73.40 | 31 |
| 54.91 | 28 |
| 43.02 | 24 |

Structure:
```
UB4
1.0
7.0241 0.0000 0.0000
0.0000 7.0241 0.0000
0.0000 0.0000 3.9500
U B
4 16
Direct
0.1903 0.3097 0.0000
0.3097 0.8097 0.0000
0.6903 0.1903 0.0000
0.8097 0.6903 0.0000
0.0000 0.0000 0.2001
0.0000 0.0000 0.7999
0.0386 0.8209 0.5000
0.0869 0.5869 0.5000
0.1791 0.0386 0.5000
0.3209 0.5386 0.5000
0.4131 0.0869 0.5000
0.4614 0.3209 0.5000
0.5000 0.5000 0.2001
0.5000 0.5000 0.7999
0.5386 0.6791 0.5000
0.5869 0.9131 0.5000
0.6791 0.4614 0.5000
0.8209 0.9614 0.5000
0.9131 0.4131 0.5000
0.9614 0.1791 0.5000
```

No. 5
Calculated powder X-ray diffraction pattern
Compound: Cs2GeSe4
Radiation: λ = 1.5418 Å (Cu Kα)
Structure: a DFT-relaxed cell (PBE, the Materials Project)
Kinematic intensities with the Lorentz-polarization factor, no thermal factor.

Most intense lines, 10 to 80 degrees two-theta, in order of falling intensity:
| two_theta | I/Imax |
| --- | --- |
| 25.85 | 100 |
| 30.47 | 87 |
| 22.66 | 87 |
| 26.79 | 60 |
| 23.06 | 55 |
| 24.84 | 51 |
| 32.60 | 49 |
| 35.68 | 37 |
| 46.31 | 34 |
| 29.53 | 33 |

Structure:
```
Cs2GeSe4
1.0
7.8157 -3.9207 0.0000
7.8157 3.9207 0.0000
-5.4424 0.0000 8.8464
Cs Ge Se
4 2 8
Direct
0.0918 0.0918 0.3582
0.3412 0.3412 0.2151
0.6588 0.6588 0.7849
0.9082 0.9082 0.6418
0.3427 0.3427 0.7981
0.6573 0.6573 0.2019
0.1679 0.6606 0.9661
0.1848 0.1848 0.7697
0.3394 0.8321 0.0339
0.3744 0.3744 0.6043
0.6256 0.6256 0.3957
0.6606 0.1679 0.9661
0.8152 0.8152 0.2303
0.8321 0.3394 0.0339
```

No. 6
Calculated powder X-ray diffraction pattern
Compound: Dy2CuGe4O12
Radiation: λ = 1.5418 Å (Cu Kα)
Structure: a DFT-relaxed cell (PBE, the Materials Project)
Kinematic intensities with the Lorentz-polarization factor, no thermal factor.

Most intense lines, 10 to 80 degrees two-theta, in order of falling intensity:
| two_theta | I/Imax |
| --- | --- |
| 27.67 | 100 |
| 31.20 | 60 |
| 25.13 | 47 |
| 29.92 | 44 |
| 12.08 | 38 |
| 21.52 | 35 |
| 34.35 | 31 |
| 51.57 | 24 |
| 22.39 | 23 |
| 34.48 | 23 |

Structure:
```
Dy2CuGe4O12
1.0
4.9873 0.0000 0.0000
1.6358 7.0977 0.0000
0.4178 3.2010 7.3293
Dy Cu Ge O
2 1 4 12
Direct
0.0452 0.2696 0.4519
0.9548 0.7304 0.5481
0.0000 0.5000 0.0000
0.4196 0.8831 0.7951
0.4596 0.6679 0.2232
0.5404 0.3321 0.7768
0.5804 0.1169 0.2049
0.2115 0.9245 0.6089
0.2256 0.5668 0.3877
0.2487 0.5079 0.7969
0.2543 0.2753 0.1936
0.2661 0.8079 0.0105
0.4160 0.1565 0.7100
0.5840 0.8435 0.2900
0.7339 0.1921 0.9895
0.7457 0.7247 0.8064
0.7513 0.4921 0.2031
0.7744 0.4332 0.6123
0.7885 0.0755 0.3911
```

No. 7
Calculated powder X-ray diffraction pattern
Compound: ScTaN
Radiation: λ = 1.5418 Å (Cu Kα)
Structure: a DFT-relaxed cell (PBE, the Materials Project)
Kinematic intensities with the Lorentz-polarization factor, no thermal factor.

Most intense lines, 10 to 80 degrees two-theta, in order of falling intensity:
| two_theta | I/Imax |
| --- | --- |
| 34.68 | 100 |
| 17.15 | 56 |
| 42.83 | 51 |
| 37.91 | 50 |
| 71.18 | 29 |
| 56.25 | 23 |
| 59.97 | 19 |
| 73.20 | 19 |
| 62.87 | 12 |
| 64.33 | 10 |

Structure:
```
ScTaN
1.0
3.0851 0.0000 0.0000
-1.5425 2.6717 0.0000
0.0000 0.0000 10.3401
Sc Ta N
2 2 2
Direct
0.0000 0.0000 0.0000
0.0000 0.0000 0.5000
0.3333 0.6667 0.2456
0.6667 0.3333 0.7544
0.3333 0.6667 0.6298
0.6667 0.3333 0.3702
```

No. 8
Calculated powder X-ray diffraction pattern
Compound: PrAg2
Radiation: λ = 1.5418 Å (Cu Kα)
Structure: a DFT-relaxed cell (PBE, the Materials Project)
Kinematic intensities with the Lorentz-polarization factor, no thermal factor.

Most intense lines, 10 to 80 degrees two-theta, in order of falling intensity:
| two_theta | I/Imax |
| --- | --- |
| 32.65 | 100 |
| 37.10 | 73 |
| 50.24 | 29 |
| 64.20 | 28 |
| 64.08 | 27 |
| 66.87 | 12 |
| 50.38 | 10 |
| 79.03 | 8 |
| 45.01 | 4 |
| 24.57 | 4 |

Structure:
```
PrAg2
1.0
4.8465 0.0000 0.0000
-2.4232 4.1972 0.0000
0.0000 0.0000 3.6226
Pr Ag
1 2
Direct
0.0000 0.0000 0.0000
0.3333 0.6667 0.5000
0.6667 0.3333 0.5000
```

No. 9
Calculated powder X-ray diffraction pattern
Compound: Pr3CuGeSe7
Radiation: λ = 1.5418 Å (Cu Kα)
Structure: a DFT-relaxed cell (PBE, the Materials Project)
Kinematic intensities with the Lorentz-polarization factor, no thermal factor.

Most intense lines, 10 to 80 degrees two-theta, in order of falling intensity:
| two_theta | I/Imax |
| --- | --- |
| 34.89 | 100 |
| 33.48 | 82 |
| 30.49 | 55 |
| 38.85 | 53 |
| 29.30 | 48 |
| 32.39 | 46 |
| 23.99 | 43 |
| 37.90 | 37 |
| 44.79 | 34 |
| 51.45 | 28 |

Structure:
```
Pr3CuGeSe7
1.0
10.7055 0.0000 0.0000
-5.3527 9.2712 0.0000
0.0000 0.0000 6.1819
Pr Cu Ge Se
6 2 2 14
Direct
0.1304 0.3554 0.0000
0.2251 0.8696 0.0000
0.3554 0.2251 0.5000
0.6446 0.7749 0.0000
0.7749 0.1304 0.5000
0.8696 0.6446 0.5000
0.0000 0.0000 0.4685
0.0000 0.0000 0.9685
0.3333 0.6667 0.5836
0.6667 0.3333 0.0836
0.0942 0.2557 0.4817
0.0989 0.5796 0.7410
0.1616 0.9058 0.4817
0.2557 0.1616 0.9817
0.3333 0.6667 0.2020
0.4204 0.5192 0.7410
0.4808 0.9011 0.7410
0.5192 0.0989 0.2410
0.5796 0.4808 0.2410
0.6667 0.3333 0.7020
0.7443 0.8384 0.4817
0.8384 0.0942 0.9817
0.9011 0.4204 0.2410
0.9058 0.7443 0.9817
```

No. 10
Calculated powder X-ray diffraction pattern
Compound: CsAsOF4
Radiation: λ = 1.5418 Å (Cu Kα)
Structure: a DFT-relaxed cell (PBE, the Materials Project)
Kinematic intensities with the Lorentz-polarization factor, no thermal factor.

Most intense lines, 10 to 80 degrees two-theta, in order of falling intensity:
| two_theta | I/Imax |
| --- | --- |
| 21.80 | 100 |
| 23.92 | 89 |
| 27.42 | 75 |
| 21.93 | 67 |
| 37.96 | 50 |
| 25.03 | 37 |
| 46.54 | 34 |
| 25.71 | 29 |
| 28.43 | 27 |
| 23.00 | 27 |

Structure:
```
CsAsOF4
1.0
5.3299 0.0000 0.0000
0.0000 6.6788 0.0000
-1.4907 0.0000 14.2292
Cs As O F
4 4 4 16
Direct
0.0936 0.1230 0.1541
0.0936 0.3770 0.6541
0.9064 0.6230 0.3459
0.9064 0.8770 0.8459
0.4725 0.6073 0.0791
0.4725 0.8927 0.5791
0.5275 0.1073 0.4209
0.5275 0.3927 0.9209
0.2988 0.0853 0.5073
0.2988 0.4147 0.0073
0.7012 0.5853 0.9927
0.7012 0.9147 0.4927
0.2368 0.6148 0.1602
0.2368 0.8852 0.6602
0.3068 0.6862 0.5188
0.3068 0.8138 0.0188
0.3442 0.2068 0.8535
0.3442 0.2932 0.3535
0.3678 0.5768 0.8422
0.3678 0.9232 0.3422
0.6322 0.0768 0.6578
0.6322 0.4232 0.1578
0.6558 0.7068 0.6465
0.6558 0.7932 0.1465
0.6932 0.1862 0.9812
0.6932 0.3138 0.4812
0.7632 0.1148 0.3398
0.7632 0.3852 0.8398
```